Diffraction record for Tm4NiSn2. The XRD peak list is theoretical, not measured: it uses the GGA-PBE geometry in Alexandria and Cu Kα (λ = 1.5418 Å).
No peak broadening, texture or thermal motion is included.

Principal peaks in the range 2θ = 10–90°, low angle first:
(2 0 1), d = 2.852 Å, 31.36 deg, intensity 100
(1 2 1), d = 2.696 Å, 33.23 deg, intensity 58
(2 1 1), d = 2.612 Å, 34.33 deg, intensity 29
(0 2 2), d = 2.594 Å, 34.58 deg, intensity 43
(2 1 -2), d = 2.522 Å, 35.59 deg, intensity 30
(1 2 -2), d = 2.475 Å, 36.30 deg, intensity 39

Lattice parameters (Å, degrees): 6.408 6.521 8.641 90.00 97.89 90.00
Fractional positions:
Tm (0.148, 0.003, 0.295)
Tm (0.148, 0.497, 0.295)
Tm (0.329, 0.250, 0.956)
Tm (0.337, 0.750, 0.662)
Tm (0.663, 0.250, 0.338)
Tm (0.671, 0.750, 0.044)
Tm (0.852, 0.503, 0.705)
Tm (0.852, 0.997, 0.705)
Ni (0.041, 0.250, 0.531)
Ni (0.959, 0.750, 0.469)
Sn (0.165, 0.750, 0.975)
Sn (0.424, 0.250, 0.624)
Sn (0.576, 0.750, 0.376)
Sn (0.835, 0.250, 0.025)